Diffraction record for SrMo2PbO8. The powder XRD pattern is theoretical, not measured: it uses a crystal structure in Alexandria, relaxed with GGA+U and a wavelength of 1.5418 Å.
Intensities are scaled so that the largest is 100.

Structural model:
a = 6.525 Å, b = 6.525 Å, c = 6.525 Å
α = 106.44°, β = 106.44°, γ = 115.72°
Atoms (fractional coordinates):
Sr  0.000  0.000  0.000
Mo  0.250  0.750  0.500
Mo  0.500  0.500  0.000
Pb  0.750  0.250  0.500
O  0.091  0.409  0.318
O  0.091  0.773  0.682
O  0.159  0.339  0.820
O  0.227  0.909  0.318
O  0.520  0.339  0.180
O  0.591  0.909  0.682
O  0.661  0.480  0.820
O  0.661  0.841  0.180

Top 10 peaks for 2θ = 15–90°, sorted by position:
2θ (°)	I_rel
22.76	100
30.41	79
32.41	25
45.03	63
46.49	16
52.36	16
56.57	18
58.16	13
66.72	16
77.52	13